Entry 1:
Simulated powder XRD pattern of Ho2Zn17 for Cu Kα, from DFT lattice parameters and positions (PBE).
Peak positions follow from Bragg's law for the DFT cell and can differ from measured ones.

a b c (Å): 9.0653 9.0653 8.6502
angles (deg): 90.00 90.00 120.00
Sites, in units of the cell vectors:
Ho: 0.0000 0.0000 0.2500
Ho: 0.0000 0.0000 0.7500
Ho: 0.3333 0.6667 0.2500
Ho: 0.6667 0.3333 0.7500
Zn: 0.0000 0.5000 0.0000
Zn: 0.0000 0.5000 0.5000
Zn: 0.0308 0.3602 0.7500
Zn: 0.0308 0.6706 0.7500
Zn: 0.1612 0.3224 0.0169
Zn: 0.1612 0.3224 0.4831
Zn: 0.1612 0.8388 0.0169
Zn: 0.1612 0.8388 0.4831
Zn: 0.3224 0.1612 0.5169
Zn: 0.3224 0.1612 0.9831
Zn: 0.3294 0.3602 0.7500
Zn: 0.3294 0.9692 0.7500
Zn: 0.3333 0.6667 0.5971
Zn: 0.3333 0.6667 0.9029
Zn: 0.3602 0.0308 0.2500
Zn: 0.3602 0.3294 0.2500
Zn: 0.5000 0.0000 0.0000
Zn: 0.5000 0.0000 0.5000
Zn: 0.5000 0.5000 0.0000
Zn: 0.5000 0.5000 0.5000
Zn: 0.6398 0.6706 0.7500
Zn: 0.6398 0.9692 0.7500
Zn: 0.6667 0.3333 0.0971
Zn: 0.6667 0.3333 0.4029
Zn: 0.6706 0.0308 0.2500
Zn: 0.6706 0.6398 0.2500
Zn: 0.6776 0.8388 0.0169
Zn: 0.6776 0.8388 0.4831
Zn: 0.8388 0.1612 0.5169
Zn: 0.8388 0.1612 0.9831
Zn: 0.8388 0.6776 0.5169
Zn: 0.8388 0.6776 0.9831
Zn: 0.9692 0.3294 0.2500
Zn: 0.9692 0.6398 0.2500

Main lines, in order of rising 2θ (5° ≤ 2θ ≤ 70°):
- 34.3°, rel. 42, (3 0 0)
- 38.7°, rel. 30, (2 0 3)
- 39.8°, rel. 56, (2 2 0)
- 40.3°, rel. 100, (3 0 2)
- 41.8°, rel. 31, (0 0 4)
- 45.2°, rel. 27, (2 2 2)

Entry 2:
Simulated powder XRD pattern of PdSeO3 for Cu Kα, from DFT lattice parameters and positions (PBE).
Peak positions follow from Bragg's law for the DFT cell and can differ from measured ones.

a b c (Å): 4.0305 6.5655 6.2622
angles (deg): 90.00 95.91 90.00
Sites, in units of the cell vectors:
Pd: 0.0000 0.0000 0.0000
Pd: 0.0000 0.5000 0.0000
Se: 0.4460 0.2500 0.6780
Se: 0.5540 0.7500 0.3220
O: 0.2802 0.2500 0.9426
O: 0.2990 0.5410 0.2816
O: 0.2990 0.9590 0.2816
O: 0.7010 0.0410 0.7184
O: 0.7010 0.4590 0.7184
O: 0.7198 0.7500 0.0574

Main lines, in order of rising 2θ (5° ≤ 2θ ≤ 70°):
- 14.2°, rel. 96, (0 0 1)
- 19.6°, rel. 100, (0 1 1)
- 25.1°, rel. 74, (1 0 -1)
- 30.8°, rel. 62, (0 2 1)
- 35.3°, rel. 92, (1 2 0)
- 59.3°, rel. 56, (2 2 -2)